# 1
Theoretical powder diffraction line list
Compound: KMo2P4O14
Radiation: Cu Kα X-rays
Structure: a DFT-relaxed cell (GGA+U, the Materials Project)
Neutral-atom scattering factors, no anomalous dispersion.

Largest 10 diffraction maxima, in order of falling intensity, 5 to 70 degrees two-theta:
16.25 deg, I 100.0; 28.40 deg, I 82.3; 24.93 deg, I 59.3; 16.55 deg, I 46.7; 29.64 deg, I 45.1; 21.88 deg, I 43.7; 22.52 deg, I 34.6; 33.47 deg, I 23.7; 29.23 deg, I 21.2; 26.65 deg, I 18.7

```
KMo2P4O14
1.0
4.999 0.000 0.000
-1.956 7.131 0.000
-0.445 -0.155 8.284
K Mo P O
1 2 4 14
direct
0.000 0.000 0.000
0.000 0.000 0.500
0.500 0.500 0.000
0.012 0.615 0.751
0.378 0.759 0.303
0.622 0.241 0.697
0.988 0.385 0.249
0.093 0.792 0.657
0.149 0.352 0.100
0.191 0.892 0.305
0.193 0.549 0.355
0.268 0.549 0.806
0.381 0.200 0.574
0.455 0.738 0.126
0.545 0.262 0.874
0.619 0.800 0.426
0.732 0.451 0.194
0.807 0.451 0.645
0.809 0.108 0.695
0.851 0.648 0.900
0.907 0.208 0.343
```



# 2
Theoretical powder diffraction line list
Compound: LiCo2CuO6
Radiation: Cu Kα X-rays
Structure: a DFT-relaxed cell (GGA+U, the Materials Project)
Neutral-atom scattering factors, no anomalous dispersion.

Largest 10 diffraction maxima, in order of falling intensity, 5 to 70 degrees two-theta:
18.37 deg, I 100.0; 44.87 deg, I 30.5; 37.20 deg, I 25.9; 43.19 deg, I 16.9; 36.10 deg, I 11.9; 58.74 deg, I 9.2; 64.75 deg, I 8.8; 63.33 deg, I 7.9; 38.51 deg, I 6.6; 48.19 deg, I 6.3

```
LiCo2CuO6
1.0
6.491 -1.409 0.000
6.491 1.409 0.000
-1.454 0.000 5.612
Li Co Cu O
1 2 1 6
direct
0.000 0.000 0.000
0.007 0.007 0.497
0.666 0.666 0.831
0.331 0.331 0.187
0.158 0.158 0.612
0.164 0.164 0.046
0.499 0.499 0.273
0.517 0.517 0.727
0.818 0.818 0.962
0.858 0.858 0.411
```



# 3
Theoretical powder diffraction line list
Compound: Sr2TaFeO6
Radiation: Cu Kα X-rays
Structure: a DFT-relaxed cell (GGA+U, the Materials Project)
Neutral-atom scattering factors, no anomalous dispersion.

Largest 10 diffraction maxima, in order of falling intensity, 5 to 70 degrees two-theta:
31.56 deg, I 100.0; 56.19 deg, I 34.1; 19.17 deg, I 22.0; 45.21 deg, I 20.8; 65.93 deg, I 15.1; 37.19 deg, I 13.1; 45.31 deg, I 10.3; 22.18 deg, I 7.5; 56.27 deg, I 6.9; 69.38 deg, I 3.2

```
Sr2TaFeO6
1.0
5.679 0.000 0.000
0.000 5.667 0.000
-5.679 0.000 8.006
Sr Ta Fe O
4 2 2 12
direct
0.248 0.013 0.250
0.248 0.487 0.750
0.752 0.513 0.250
0.752 0.987 0.750
0.000 0.000 0.500
0.000 0.500 0.000
0.500 0.000 0.000
0.500 0.500 0.500
0.203 0.234 0.974
0.203 0.266 0.474
0.240 0.729 0.974
0.240 0.771 0.474
0.298 0.005 0.747
0.298 0.495 0.247
0.702 0.505 0.753
0.702 0.995 0.253
0.760 0.229 0.526
0.760 0.271 0.026
0.797 0.734 0.526
0.797 0.766 0.026
```



# 4
Theoretical powder diffraction line list
Compound: Mg6VCO8
Radiation: Cu Kα X-rays
Structure: a DFT-relaxed cell (GGA+U, the Materials Project)
Neutral-atom scattering factors, no anomalous dispersion.

Largest 10 diffraction maxima, in order of falling intensity, 5 to 70 degrees two-theta:
42.54 deg, I 100.0; 61.47 deg, I 55.9; 42.20 deg, I 51.2; 61.73 deg, I 27.6; 36.52 deg, I 18.6; 23.36 deg, I 13.6; 20.90 deg, I 8.7; 29.61 deg, I 7.4; 37.96 deg, I 3.7; 49.09 deg, I 3.6

```
Mg6VCO8
1.0
4.250 0.000 0.000
0.000 4.250 0.000
0.000 0.000 8.565
Mg V C O
6 1 1 8
direct
0.000 0.000 0.000
0.000 0.500 0.253
0.000 0.500 0.747
0.500 0.000 0.253
0.500 0.000 0.747
0.500 0.500 0.000
0.000 0.000 0.500
0.500 0.500 0.500
0.000 0.000 0.249
0.000 0.000 0.751
0.000 0.500 0.000
0.000 0.500 0.500
0.500 0.000 0.000
0.500 0.000 0.500
0.500 0.500 0.247
0.500 0.500 0.753
```



# 5
Theoretical powder diffraction line list
Compound: CsVCuF6
Radiation: Cu Kα X-rays
Structure: a DFT-relaxed cell (GGA+U, the Materials Project)
Neutral-atom scattering factors, no anomalous dispersion.

Largest 10 diffraction maxima, in order of falling intensity, 5 to 70 degrees two-theta:
28.56 deg, I 100.0; 27.74 deg, I 95.7; 48.58 deg, I 75.2; 23.74 deg, I 71.8; 27.59 deg, I 64.7; 27.86 deg, I 43.4; 43.74 deg, I 32.3; 45.36 deg, I 31.4; 29.80 deg, I 26.8; 28.75 deg, I 26.1

```
CsVCuF6
1.0
-3.617 3.810 5.356
3.617 -3.810 5.356
3.617 3.810 -5.356
Cs V Cu F
2 2 2 12
direct
0.372 0.122 0.250
0.628 0.878 0.750
0.000 0.500 0.500
0.500 0.500 0.000
0.000 0.000 0.500
0.000 0.500 0.000
0.066 0.816 0.250
0.075 0.429 0.261
0.075 0.815 0.646
0.312 0.562 0.750
0.332 0.185 0.761
0.332 0.571 0.146
0.668 0.429 0.854
0.668 0.815 0.239
0.688 0.438 0.250
0.925 0.185 0.354
0.925 0.571 0.739
0.934 0.184 0.750
```